Structure and calculated powder XRD pattern of Ti4AlTl (a DFT-relaxed cell (GGA-PBE, Alexandria); Cu Kα, 1.54184 Å).

Top 10 peaks for 2θ = 10–90°, in order of rising 2θ:
| h k l | 2theta | d (Å) | I/Imax |
| --- | --- | --- | --- |
| 0 0 1 | 10.9 | 8.093 | 69 |
| 1 1 0 | 24.7 | 3.610 | 24 |
| 1 1 1 | 27.0 | 3.297 | 72 |
| 1 0 2 | 29.2 | 3.057 | 26 |
| 2 0 0 | 38.6 | 2.335 | 100 |
| 0 2 2 | 38.7 | 2.328 | 78 |
| 2 2 0 | 50.6 | 1.805 | 29 |
| 2 2 2 | 55.8 | 1.649 | 24 |
| 3 0 3 | 69.8 | 1.348 | 23 |
| 2 4 0 | 78.7 | 1.215 | 23 |

Structure:
a b c (Å): 4.668 5.694 8.093
angles (deg): 90.00 90.00 90.00
Space group Pmmn (No. 59, origin choice 2)
One atom of each set of equivalent atoms:
1 Ti 0.250 0.008 0.225 [4 per cell]
2 Ti 0.250 0.750 0.613 [2 per cell]
3 Ti 0.250 0.750 0.933 [2 per cell]
4 Al 0.250 0.250 0.907 [2 per cell]
5 Tl 0.250 0.250 0.573 [2 per cell]

Structure and calculated powder XRD pattern of Sr2MnGe4Pt3 (a DFT-relaxed cell (GGA-PBE, Alexandria); Cu Kα, 1.54184 Å).

Top 10 peaks for 2θ = 10–90°, in order of rising 2θ:
| h k l | 2theta | d (Å) | I/Imax |
| --- | --- | --- | --- |
| 1 0 1 | 22.0 | 4.041 | 48 |
| 1 0 2 | 26.5 | 3.359 | 36 |
| 1 0 3 | 32.8 | 2.729 | 97 |
| 1 1 2 | 33.6 | 2.666 | 96 |
| 2 0 0 | 41.2 | 2.191 | 100 |
| 1 1 4 | 45.4 | 1.999 | 71 |
| 1 0 5 | 48.2 | 1.889 | 35 |
| 2 1 3 | 53.6 | 1.708 | 48 |
| 2 2 0 | 59.7 | 1.549 | 33 |
| 3 1 4 | 78.0 | 1.224 | 29 |

Structure:
a b c (Å): 4.381 4.381 10.465
angles (deg): 90.00 90.00 90.00
Space group P-4m2 (No. 115)
One atom of each set of equivalent atoms:
1 Sr 0.000 0.500 0.248 [2 per cell]
2 Mn 0.000 0.000 0.500 [1 per cell]
3 Ge 0.000 0.000 0.000 [1 per cell]
4 Ge 0.000 0.500 0.628 [2 per cell]
5 Ge 0.500 0.500 0.000 [1 per cell]
6 Pt 0.000 0.500 0.875 [2 per cell]
7 Pt 0.500 0.500 0.500 [1 per cell]